# 1
Computed powder diffractogram of MoBr4Cl for Cu Kα, 1.54184 Å, from DFT lattice parameters and positions (PBE).
Intensities are scaled so that the largest is 100.

Structural model:
```
12
Lattice="8.673 0.000 0.000 0.000 8.673 0.000 0.000 0.000 7.998" Properties=species:S:1:pos:R:3 pbc="T T T"
Mo 0.000 4.336 0.000
Mo 4.336 0.000 3.999
Br 1.705 2.591 0.000
Br 1.705 6.082 0.000
Br 2.591 1.705 3.999
Br 2.591 6.968 3.999
Br 6.082 1.705 3.999
Br 6.082 6.968 3.999
Br 6.968 2.591 0.000
Br 6.968 6.082 0.000
Cl 0.000 0.000 0.000
Cl 0.000 0.000 3.999
```

Top 6 peaks for 2θ = 10–90°, low angle first:
- 2θ = 15.07°, 5.879 Å, I = 100
- 2θ = 22.23°, 3.999 Å, I = 53
- 2θ = 29.12°, 3.066 Å, I = 30
- 2θ = 36.94°, 2.433 Å, I = 31
- 2θ = 39.11°, 2.303 Å, I = 43
- 2θ = 51.15°, 1.786 Å, I = 19

# 2
Computed powder diffractogram of Rb2MoBr4Cl2 for Cu Kα, 1.54184 Å, from DFT lattice parameters and positions (PBE).
Intensities are scaled so that the largest is 100.

Structural model:
```
9
Lattice="6.382 -3.722 0.000 6.382 3.722 0.000 -0.730 0.000 6.391" Properties=species:S:1:pos:R:3 pbc="T T T"
Rb 1.816 0.000 1.783
Rb 10.218 0.000 4.607
Mo 6.017 0.000 3.195
Br 5.032 1.816 1.662
Br 7.003 1.816 4.728
Br 5.032 -1.816 1.662
Br 7.003 -1.816 4.728
Cl 4.000 0.000 4.468
Cl 8.035 0.000 1.923
```

Top 6 peaks for 2θ = 10–90°, low angle first:
- 2θ = 13.84°, 6.396 Å, I = 40
- 2θ = 19.02°, 4.665 Å, I = 35
- 2θ = 27.92°, 3.195 Å, I = 40
- 2θ = 30.01°, 2.978 Å, I = 33
- 2θ = 30.45°, 2.936 Å, I = 71
- 2θ = 31.92°, 2.804 Å, I = 100

# 3
Computed powder diffractogram of Na4BrCl3 for Cu Kα, 1.54184 Å, from DFT lattice parameters and positions (PBE).
Intensities are scaled so that the largest is 100.

Structural model:
```
16
Lattice="7.095 0.000 0.000 0.000 8.182 0.000 -2.360 0.000 6.649" Properties=species:S:1:pos:R:3 pbc="T T T"
Na 1.685 1.073 0.012
Na 0.505 7.109 3.337
Na 0.599 3.118 3.284
Na -0.581 5.064 6.609
Na 5.316 3.118 0.041
Na 4.136 5.064 3.365
Na 4.230 1.073 3.313
Na 3.050 7.109 6.637
Br 1.777 1.025 4.987
Br 2.958 7.157 1.662
Cl -0.590 1.048 1.662
Cl -1.770 3.083 4.987
Cl -0.590 5.099 1.662
Cl -1.770 7.133 4.987
Cl 2.958 3.083 1.662
Cl 1.777 5.099 4.987
```

Top 6 peaks for 2θ = 10–90°, low angle first:
- 2θ = 26.69°, 3.341 Å, I = 16
- 2θ = 30.95°, 2.890 Å, I = 100
- 2θ = 44.25°, 2.047 Å, I = 34
- 2θ = 44.42°, 2.040 Å, I = 34
- 2θ = 54.98°, 1.670 Å, I = 17
- 2θ = 73.37°, 1.290 Å, I = 13

# 4
Computed powder diffractogram of Na3OsBr2Cl6 for Cu Kα, 1.54184 Å, from DFT lattice parameters and positions (PBE).
Intensities are scaled so that the largest is 100.

Structural model:
```
12
Lattice="7.237 -4.044 0.000 7.237 4.044 0.000 -0.377 0.000 5.959" Properties=species:S:1:pos:R:3 pbc="T T T"
Na 0.000 0.000 0.000
Na 3.430 2.022 2.979
Na 3.430 -2.022 2.979
Os 7.049 0.000 2.979
Br 2.498 0.000 1.239
Br 11.599 0.000 4.720
Cl 6.087 1.650 1.647
Cl 8.010 1.650 4.312
Cl 5.149 0.000 4.323
Cl 8.948 0.000 1.636
Cl 6.087 -1.650 1.647
Cl 8.010 -1.650 4.312
```

Top 6 peaks for 2θ = 10–90°, low angle first:
- 2θ = 12.54°, 7.057 Å, I = 69
- 2θ = 19.20°, 4.624 Å, I = 100
- 2θ = 21.48°, 4.137 Å, I = 47
- 2θ = 28.07°, 3.179 Å, I = 40
- 2θ = 29.82°, 2.996 Å, I = 74
- 2θ = 43.74°, 2.070 Å, I = 42

# 5
Computed powder diffractogram of NaPaBrCl4 for Cu Kα, 1.54184 Å, from DFT lattice parameters and positions (PBE).
Intensities are scaled so that the largest is 100.

Structural model:
```
14
Lattice="6.098 -4.715 0.000 6.098 4.715 0.000 -5.468 0.000 10.162" Properties=species:S:1:pos:R:3 pbc="T T T"
Na -0.257 0.000 3.403
Na 6.984 0.000 6.760
Pa -0.116 0.000 8.079
Pa 6.843 0.000 2.084
Br 4.293 0.000 0.647
Br 2.434 0.000 9.515
Cl -0.109 2.614 8.181
Cl -2.489 0.000 7.000
Cl 1.122 0.000 5.776
Cl 6.836 2.614 1.981
Cl -0.109 -2.614 8.181
Cl 5.604 0.000 4.387
Cl 9.216 0.000 3.163
Cl 6.836 -2.614 1.981
```

Top 6 peaks for 2θ = 10–90°, low angle first:
- 2θ = 12.49°, 7.086 Å, I = 39
- 2θ = 12.80°, 6.914 Å, I = 100
- 2θ = 14.55°, 6.086 Å, I = 31
- 2θ = 18.82°, 4.715 Å, I = 38
- 2θ = 25.35°, 3.513 Å, I = 23
- 2θ = 38.15°, 2.359 Å, I = 27

# 6
Computed powder diffractogram of RbNa2BrCl2 for Cu Kα, 1.54184 Å, from DFT lattice parameters and positions (PBE).
Intensities are scaled so that the largest is 100.

Structural model:
```
12
Lattice="4.253 0.000 0.000 0.000 6.968 0.000 0.000 0.000 11.861" Properties=species:S:1:pos:R:3 pbc="T T T"
Rb 1.063 1.742 0.656
Rb 3.189 5.226 11.205
Na 1.063 3.509 4.088
Na 1.063 6.943 4.088
Na 3.189 0.025 7.773
Na 3.189 3.459 7.773
Br 1.063 1.742 6.529
Br 3.189 5.226 5.331
Cl 1.063 5.226 1.721
Cl 1.063 5.226 8.775
Cl 3.189 1.742 3.085
Cl 3.189 1.742 10.140
```

Top 6 peaks for 2θ = 10–90°, low angle first:
- 2θ = 25.57°, 3.483 Å, I = 41
- 2θ = 28.84°, 3.096 Å, I = 100
- 2θ = 32.83°, 2.728 Å, I = 40
- 2θ = 36.63°, 2.453 Å, I = 58
- 2θ = 36.96°, 2.432 Å, I = 23
- 2θ = 47.15°, 1.928 Å, I = 23

# 7
Computed powder diffractogram of NaSnBrCl2 for Cu Kα, 1.54184 Å, from DFT lattice parameters and positions (PBE).
Intensities are scaled so that the largest is 100.

Structural model:
```
10
Lattice="7.072 0.000 0.000 0.000 5.177 0.000 -0.284 0.000 9.402" Properties=species:S:1:pos:R:3 pbc="T T T"
Na 0.573 1.294 1.413
Na 6.214 3.883 7.989
Sn 1.658 1.294 5.627
Sn 5.130 3.883 3.774
Br 3.031 1.294 2.969
Br 3.757 3.883 6.432
Cl 0.190 1.294 8.054
Cl 0.420 3.883 5.432
Cl 6.368 1.294 3.970
Cl 6.597 3.883 1.348
```

Top 6 peaks for 2θ = 10–90°, low angle first:
- 2θ = 21.27°, 4.177 Å, I = 100
- 2θ = 22.39°, 3.970 Å, I = 45
- 2θ = 23.46°, 3.792 Å, I = 61
- 2θ = 30.86°, 2.898 Å, I = 59
- 2θ = 32.34°, 2.768 Å, I = 62
- 2θ = 34.65°, 2.589 Å, I = 52

# 8
Computed powder diffractogram of Na2SnBr2Cl2 for Cu Kα, 1.54184 Å, from DFT lattice parameters and positions (PBE).
Intensities are scaled so that the largest is 100.

Structural model:
```
7
Lattice="4.340 0.000 0.000 -0.028 7.329 0.000 -2.159 -3.563 6.805" Properties=species:S:1:pos:R:3 pbc="T T T"
Na 0.020 -0.236 2.881
Na 2.134 4.002 3.924
Sn 2.156 3.665 0.000
Br -0.012 2.564 1.838
Br 2.166 1.202 4.967
Cl -0.006 -2.092 5.029
Cl 2.160 5.858 1.776
```

Top 6 peaks for 2θ = 10–90°, low angle first:
- 2θ = 13.64°, 6.493 Å, I = 100
- 2θ = 13.81°, 6.413 Å, I = 38
- 2θ = 27.33°, 3.263 Å, I = 91
- 2θ = 27.47°, 3.246 Å, I = 47
- 2θ = 28.46°, 3.136 Å, I = 52
- 2θ = 35.56°, 2.525 Å, I = 46

# 9
Computed powder diffractogram of NbBr3Cl for Cu Kα, 1.54184 Å, from DFT lattice parameters and positions (PBE).
Intensities are scaled so that the largest is 100.

Structural model:
```
20
Lattice="7.584 -8.152 0.000 7.584 8.152 0.000 -2.173 0.000 5.636" Properties=species:S:1:pos:R:3 pbc="T T T"
Nb 5.954 7.419 4.227
Nb 7.041 3.363 1.409
Nb 5.954 -3.363 4.227
Nb 7.041 -7.419 1.409
Br 1.809 0.817 0.213
Br 5.297 5.390 2.615
Br 0.722 -0.817 3.031
Br 8.785 5.390 0.203
Br 5.544 1.723 2.434
Br 8.537 1.723 0.384
Br 4.458 -1.723 5.252
Br 7.450 -1.723 3.202
Br 4.210 -5.390 5.433
Br 12.273 0.817 2.604
Br 7.698 -5.390 3.021
Br 11.186 -0.817 5.422
Cl 3.510 3.802 5.222
Cl 8.398 3.802 3.232
Cl 4.597 -3.802 2.404
Cl 9.484 -3.802 0.414
```

Top 6 peaks for 2θ = 10–90°, low angle first:
- 2θ = 12.51°, 7.076 Å, I = 100
- 2θ = 27.28°, 3.269 Å, I = 25
- 2θ = 32.24°, 2.777 Å, I = 24
- 2θ = 33.47°, 2.677 Å, I = 21
- 2θ = 40.07°, 2.250 Å, I = 20
- 2θ = 50.81°, 1.797 Å, I = 15

# 10
Computed powder diffractogram of RbNbBrCl3 for Cu Kα, 1.54184 Å, from DFT lattice parameters and positions (PBE).
Intensities are scaled so that the largest is 100.

Structural model:
```
12
Lattice="3.410 -11.996 0.000 3.410 11.996 0.000 -0.081 0.000 5.424" Properties=species:S:1:pos:R:3 pbc="T T T"
Rb 3.349 6.720 4.068
Rb 3.390 -6.720 1.356
Nb 3.390 11.397 1.356
Nb 3.349 -11.397 4.068
Br 3.390 4.719 1.356
Br 3.349 -4.719 4.068
Cl 3.390 9.049 1.356
Cl 1.635 0.890 2.213
Cl 1.595 -0.890 4.925
Cl 5.145 0.890 0.499
Cl 5.104 -0.890 3.211
Cl 3.349 -9.049 4.068
```

Top 6 peaks for 2θ = 10–90°, low angle first:
- 2θ = 13.50°, 6.560 Å, I = 100
- 2θ = 14.77°, 5.998 Å, I = 86
- 2θ = 22.10°, 4.023 Å, I = 66
- 2θ = 26.13°, 3.410 Å, I = 41
- 2θ = 34.29°, 2.615 Å, I = 39
- 2θ = 34.67°, 2.587 Å, I = 40

# 11
Computed powder diffractogram of Nd2Br5Cl for Cu Kα, 1.54184 Å, from DFT lattice parameters and positions (PBE).
Intensities are scaled so that the largest is 100.

Structural model:
```
16
Lattice="4.912 0.000 0.000 0.000 8.982 0.000 0.000 0.000 11.318" Properties=species:S:1:pos:R:3 pbc="T T T"
Nd 0.000 0.000 2.822
Nd 0.000 0.000 8.496
Nd 2.456 4.491 2.837
Nd 2.456 4.491 8.481
Br 0.000 0.000 5.659
Br 0.000 2.829 1.872
Br 0.000 2.829 9.446
Br 0.000 6.153 1.872
Br 0.000 6.153 9.446
Br 2.456 1.662 3.787
Br 2.456 1.662 7.531
Br 2.456 4.491 0.000
Br 2.456 7.320 3.787
Br 2.456 7.320 7.531
Cl 0.000 4.491 5.659
Cl 2.456 0.000 0.000
```

Top 6 peaks for 2θ = 10–90°, low angle first:
- 2θ = 15.66°, 5.659 Å, I = 94
- 2θ = 29.86°, 2.992 Å, I = 76
- 2θ = 35.10°, 2.557 Å, I = 100
- 2θ = 36.59°, 2.456 Å, I = 58
- 2θ = 38.04°, 2.365 Å, I = 63
- 2θ = 38.65°, 2.330 Å, I = 57

# 12
Computed powder diffractogram of Nd2Br2Cl3 for Cu Kα, 1.54184 Å, from DFT lattice parameters and positions (PBE).
Intensities are scaled so that the largest is 100.

Structural model:
```
14
Lattice="13.492 0.000 0.000 0.000 3.810 0.000 -3.418 0.000 7.488" Properties=species:S:1:pos:R:3 pbc="T T T"
Nd 1.746 0.000 1.571
Nd 1.581 1.905 5.917
Nd 8.493 1.905 1.571
Nd 8.327 0.000 5.917
Br -0.711 0.000 6.070
Br 4.039 1.905 1.418
Br 6.035 1.905 6.070
Br 10.785 0.000 1.418
Cl 0.000 1.905 0.000
Cl 0.352 1.905 3.255
Cl 2.976 0.000 4.233
Cl 6.746 0.000 0.000
Cl 7.098 0.000 3.255
Cl 9.722 1.905 4.233
```

Top 6 peaks for 2θ = 10–90°, low angle first:
- 2θ = 14.43°, 6.140 Å, I = 95
- 2θ = 23.77°, 3.744 Å, I = 44
- 2θ = 30.89°, 2.895 Å, I = 73
- 2θ = 32.10°, 2.788 Å, I = 100
- 2θ = 34.23°, 2.619 Å, I = 44
- 2θ = 41.27°, 2.188 Å, I = 35

# 13
Computed powder diffractogram of NpBrCl6 for Cu Kα, 1.54184 Å, from DFT lattice parameters and positions (PBE).
Intensities are scaled so that the largest is 100.

Structural model:
```
16
Lattice="7.429 0.000 0.000 0.000 11.848 0.000 -3.206 0.000 7.356" Properties=species:S:1:pos:R:3 pbc="T T T"
Np 0.000 0.000 0.000
Np 3.714 5.924 0.000
Br -1.603 5.924 3.678
Br 2.112 0.000 3.678
Cl -2.325 1.748 5.850
Cl -2.325 10.100 5.850
Cl -1.849 5.924 6.080
Cl 2.358 0.000 1.276
Cl 2.834 4.176 1.506
Cl 2.834 7.672 1.506
Cl 1.390 4.176 5.850
Cl 1.390 7.672 5.850
Cl 1.866 0.000 6.080
Cl 6.072 5.924 1.276
Cl 6.548 1.748 1.506
Cl 6.548 10.100 1.506
```

Top 6 peaks for 2θ = 10–90°, low angle first:
- 2θ = 12.03°, 7.356 Å, I = 40
- 2θ = 14.97°, 5.917 Å, I = 89
- 2θ = 15.66°, 5.660 Å, I = 100
- 2θ = 22.33°, 3.981 Å, I = 31
- 2θ = 26.17°, 3.405 Å, I = 30
- 2θ = 26.47°, 3.367 Å, I = 25